Diffraction record for Na5Ni2P2C2O14. The powder diffractogram is calculated, not measured: it uses DFT lattice parameters and positions (GGA+U) and Cu Kα.

Cell and atoms:
Cell lengths 8.4069, 8.4176, 10.1812 Å; angles 107.41, 107.75, 103.36 degrees
Space group P1 (No. 1)
One atom of each set of equivalent atoms:
Na 0.0000 0.0000 0.0000
Na 0.0224 0.0046 0.5379
Na 0.2451 0.7217 0.9982
Na 0.2691 0.7618 0.5319
Na 0.3278 0.0570 0.3529
Na 0.4847 0.4855 0.9978
Na 0.5334 0.4986 0.5384
Na 0.7008 0.9491 0.1884
Na 0.7634 0.2392 0.9994
Na 0.8154 0.5443 0.3521
Ni 0.1889 0.4322 0.6119
Ni 0.3226 0.0597 0.9204
Ni 0.6968 0.9400 0.6121
Ni 0.8214 0.5621 0.9208
P 0.0603 0.3018 0.8434
P 0.4502 0.1888 0.6872
P 0.5674 0.8047 0.8490
P 0.9540 0.6937 0.6891
C 0.0232 0.2608 0.3344
C 0.4927 0.2358 0.1990
C 0.5261 0.7603 0.3328
C 0.9964 0.7352 0.2034
O 0.0379 0.5863 0.5899
O 0.0496 0.7890 0.1112
O 0.0785 0.8211 0.3466
O 0.1017 0.8397 0.8371
O 0.1629 0.4064 0.3991
O 0.1733 0.2264 0.9419
O 0.1928 0.4323 0.8059
O 0.3180 0.0622 0.7240
O 0.3391 0.2691 0.5860
O 0.3517 0.0890 0.1375
O 0.4191 0.6544 0.6983
O 0.4423 0.6799 0.1908
O 0.4770 0.7123 0.4281
O 0.4866 0.9100 0.9471
O 0.5175 0.0713 0.5856
O 0.5491 0.2846 0.1057
O 0.5709 0.3209 0.3407
O 0.5967 0.3359 0.8337
O 0.6696 0.9010 0.3903
O 0.6744 0.7265 0.9496
O 0.6949 0.9335 0.8124
O 0.8250 0.5709 0.7270
O 0.8479 0.7697 0.5859
O 0.8539 0.5924 0.1440
O 0.9166 0.1542 0.6975
O 0.9396 0.1777 0.1921
O 0.9729 0.2063 0.4276
O 0.9841 0.4132 0.9405

Peak list (10 most intense, 10° ≤ 2θ ≤ 90°, low angle first)
| index | d_spacing | I_rel |
| --- | --- | --- |
| -1 1 1 | 5.300 | 52 |
| 1 1 0 | 4.556 | 37 |
| 1 1 -2 | 4.443 | 47 |
| 1 1 1 | 3.432 | 36 |
| 2 -2 0 | 3.300 | 100 |
| -2 2 2 | 2.653 | 44 |
| 1 -3 2 | 2.646 | 42 |
| 2 2 -2 | 2.608 | 93 |
| 2 0 -4 | 2.375 | 35 |
| 4 -4 0 | 1.650 | 30 |



Diffraction record for Na5Ni2P2C2O14. The powder diffractogram is calculated, not measured: it uses DFT lattice parameters and positions (GGA+U) and Cu Kα.

Cell and atoms:
Cell lengths 5.1986, 6.6354, 17.6470 Å; angles 90.00, 91.67, 90.00 degrees
Space group P2_1/m (No. 11)
One atom of each set of equivalent atoms:
Na 0.2230 0.2500 0.2898
Na 0.2545 0.5137 0.1166
Na 0.2545 0.5073 0.6171
Ni 0.2222 0.7500 0.4227
Ni 0.2225 0.7500 0.9226
P 0.2802 0.2500 0.4594
P 0.2810 0.2500 0.9594
C 0.2879 0.7500 0.2832
C 0.2897 0.7500 0.7817
O 0.0623 0.7500 0.3129
O 0.0645 0.7500 0.8114
O 0.1360 0.2500 0.5346
O 0.1423 0.2500 0.0356
O 0.2089 0.0627 0.9111
O 0.2123 0.0644 0.4091
O 0.3138 0.7500 0.7094
O 0.3173 0.7500 0.2127
O 0.4217 0.7500 0.0234
O 0.4244 0.7500 0.5214
O 0.4805 0.7500 0.3323
O 0.4892 0.7500 0.8279

Peak list (10 most intense, 10° ≤ 2θ ≤ 90°, low angle first)
| index | d_spacing | I_rel |
| --- | --- | --- |
| 0 0 2 | 8.820 | 100 |
| 0 1 2 | 5.302 | 34 |
| 1 0 2 | 4.418 | 28 |
| 1 0 -4 | 3.412 | 25 |
| 0 2 0 | 3.317 | 64 |
| 1 2 -2 | 2.678 | 31 |
| 0 2 4 | 2.652 | 58 |
| 2 0 0 | 2.596 | 58 |
| 2 1 -4 | 2.146 | 31 |
| 0 4 0 | 1.659 | 23 |



Diffraction record for Na5Ni2P2C2O14. The powder diffractogram is calculated, not measured: it uses DFT lattice parameters and positions (GGA+U) and Cu Kα.

Cell and atoms:
Cell lengths 5.2255, 11.0724, 11.1113 Å; angles 73.22, 88.93, 88.92 degrees
Space group P-1 (No. 2)
One atom of each set of equivalent atoms:
Na 0.2280 0.0872 0.3338
Na 0.2447 0.6178 0.1318
Na 0.2493 0.8784 0.8777
Na 0.2503 0.3893 0.3745
Na 0.2555 0.1304 0.6353
Ni 0.2196 0.6996 0.4521
Ni 0.2219 0.2021 0.9481
P 0.2830 0.4141 0.6662
P 0.2828 0.9164 0.1637
C 0.2847 0.8436 0.5923
C 0.2875 0.3389 0.0891
O 0.0591 0.8168 0.5604
O 0.0601 0.3087 0.0600
O 0.1420 0.8405 0.0897
O 0.1466 0.3378 0.5898
O 0.2040 0.3643 0.8081
O 0.2060 0.5547 0.6209
O 0.2147 0.0602 0.1178
O 0.2153 0.8756 0.3059
O 0.3114 0.9164 0.6637
O 0.3160 0.4047 0.1632
O 0.4201 0.1000 0.8533
O 0.4210 0.6028 0.3463
O 0.4771 0.2921 0.0377
O 0.4832 0.7967 0.5479

Peak list (10 most intense, 10° ≤ 2θ ≤ 90°, low angle first)
| index | d_spacing | I_rel |
| --- | --- | --- |
| 0 2 0 | 5.309 | 67 |
| -1 1 1 | 4.458 | 47 |
| 1 2 2 | 3.428 | 53 |
| 0 2 -2 | 3.307 | 100 |
| 1 3 -1 | 2.676 | 58 |
| 0 0 4 | 2.658 | 81 |
| 2 0 0 | 2.612 | 80 |
| 1 3 3 | 2.606 | 35 |
| -1 2 4 | 2.383 | 42 |
| 0 4 -4 | 1.654 | 38 |



Diffraction record for Na5Ni2P2C2O14. The powder diffractogram is calculated, not measured: it uses DFT lattice parameters and positions (GGA+U) and Cu Kα.

Cell and atoms:
Cell lengths 5.1757, 8.8837, 13.3213 Å; angles 89.84, 89.98, 88.41 degrees
Space group P-1 (No. 2)
One atom of each set of equivalent atoms:
Na 0.2257 0.4190 0.3745
Na 0.2426 0.7536 0.0075
Na 0.2490 0.7631 0.2435
Na 0.2508 0.7660 0.7452
Na 0.2545 0.7719 0.5033
Ni 0.2221 0.1526 0.6259
Ni 0.2233 0.1513 0.1233
P 0.2811 0.0775 0.8752
P 0.2838 0.0834 0.3747
C 0.2855 0.4354 0.6251
C 0.2861 0.4230 0.1242
O 0.0583 0.3762 0.6244
O 0.0618 0.3589 0.1236
O 0.1386 0.9263 0.8766
O 0.1436 0.9325 0.3733
O 0.2098 0.1812 0.4679
O 0.2114 0.1837 0.2823
O 0.2153 0.1741 0.9681
O 0.2163 0.1715 0.7807
O 0.3064 0.5633 0.1276
O 0.3109 0.5791 0.6234
O 0.4183 0.9494 0.6246
O 0.4187 0.9606 0.1252
O 0.4817 0.3272 0.1236
O 0.4859 0.3432 0.6258

Peak list (10 most intense, 10° ≤ 2θ ≤ 90°, low angle first)
| index | d_spacing | I_rel |
| --- | --- | --- |
| 0 1 2 | 5.328 | 57 |
| 1 -1 0 | 4.417 | 30 |
| 1 0 -2 | 4.086 | 27 |
| 1 2 0 | 3.417 | 41 |
| 0 0 4 | 3.329 | 100 |
| 1 1 -4 | 2.682 | 49 |
| 0 2 -4 | 2.663 | 68 |
| 2 0 0 | 2.587 | 64 |
| 1 -3 2 | 2.372 | 28 |
| 0 0 8 | 1.665 | 42 |



Diffraction record for Na5Ni2P2C2O14. The powder diffractogram is calculated, not measured: it uses DFT lattice parameters and positions (GGA+U) and Cu Kα.

Cell and atoms:
Cell lengths 5.2509, 8.8820, 13.2259 Å; angles 89.87, 89.97, 88.08 degrees
Space group P1 (No. 1)
One atom of each set of equivalent atoms:
Na 0.0000 0.0000 0.0000
Na 0.0007 0.9999 0.7631
Na 0.0038 0.0093 0.2625
Na 0.0048 0.0084 0.5020
Na 0.4906 0.4630 0.5065
Na 0.4924 0.4664 0.7524
Na 0.4942 0.4621 0.0193
Na 0.5189 0.8135 0.3776
Na 0.9650 0.6446 0.1393
Na 0.9708 0.6512 0.6317
Ni 0.5224 0.0782 0.1320
Ni 0.5247 0.0792 0.6316
Ni 0.9665 0.3917 0.3774
Ni 0.9696 0.3896 0.8825
P 0.0279 0.3159 0.6316
P 0.0296 0.3120 0.1317
P 0.4664 0.1563 0.8822
P 0.4678 0.1554 0.3809
C 0.0351 0.6737 0.3844
C 0.0355 0.6652 0.8821
C 0.4549 0.8014 0.1293
C 0.4585 0.7970 0.6321
O 0.0611 0.8057 0.8818
O 0.0630 0.8176 0.3823
O 0.1717 0.1937 0.8816
O 0.1744 0.1904 0.3815
O 0.2267 0.5672 0.8823
O 0.2292 0.5797 0.3855
O 0.2605 0.8973 0.1321
O 0.2620 0.8909 0.6326
O 0.3209 0.2689 0.1278
O 0.3220 0.2806 0.6318
O 0.4295 0.6605 0.1257
O 0.4313 0.6534 0.6308
O 0.5346 0.0508 0.4735
O 0.5352 0.0582 0.9762
O 0.5371 0.0528 0.2881
O 0.5376 0.0597 0.7888
O 0.6083 0.3065 0.8833
O 0.6165 0.3001 0.3829
O 0.6804 0.8608 0.1329
O 0.6831 0.8547 0.6308
O 0.8098 0.6171 0.3839
O 0.8136 0.6040 0.8820
O 0.8831 0.1644 0.1311
O 0.8874 0.1660 0.6326
O 0.9569 0.4157 0.5383
O 0.9567 0.4161 0.7249
O 0.9618 0.4148 0.0394
O 0.9728 0.4111 0.2249

Peak list (10 most intense, 10° ≤ 2θ ≤ 90°, low angle first)
| index | d_spacing | I_rel |
| --- | --- | --- |
| 0 1 -2 | 5.303 | 51 |
| 1 1 0 | 4.585 | 37 |
| 1 -1 0 | 4.451 | 49 |
| 1 2 0 | 3.446 | 35 |
| 0 0 4 | 3.306 | 100 |
| 1 1 -4 | 2.682 | 48 |
| 0 2 4 | 2.655 | 43 |
| 1 -1 4 | 2.651 | 43 |
| 2 0 0 | 2.624 | 66 |
| -1 3 2 | 2.372 | 31 |



Diffraction record for Na5Ni2P2C2O14. The powder diffractogram is calculated, not measured: it uses DFT lattice parameters and positions (GGA+U) and Cu Kα.

Cell and atoms:
Cell lengths 6.5678, 10.2065, 10.4390 Å; angles 61.00, 90.00, 89.71 degrees
Space group P1 (No. 1)
One atom of each set of equivalent atoms:
Na 0.0000 0.0000 0.0000
Na 0.9997 0.0014 0.4845
Na 0.0154 0.4692 0.5121
Na 0.0363 0.4576 0.0144
Na 0.2713 0.6460 0.6900
Na 0.2708 0.6497 0.1802
Na 0.5053 0.4676 0.5152
Na 0.5234 0.0019 0.4840
Na 0.5251 0.9999 0.0002
Na 0.7530 0.8116 0.8254
Ni 0.2611 0.0777 0.6906
Ni 0.2611 0.0806 0.1907
Ni 0.7577 0.3875 0.3108
Ni 0.7585 0.3880 0.8182
P 0.2606 0.3113 0.3228
P 0.2610 0.3141 0.8183
P 0.7596 0.1589 0.1810
P 0.7620 0.1521 0.6837
C 0.2562 0.7992 0.8653
C 0.2617 0.7988 0.3632
C 0.7633 0.6633 0.1416
C 0.7648 0.6690 0.6423
O 0.0743 0.4146 0.3065
O 0.0740 0.4148 0.8049
O 0.2435 0.6587 0.9489
O 0.2544 0.2761 0.6897
O 0.2550 0.2731 0.1958
O 0.2601 0.1625 0.4690
O 0.2604 0.6559 0.4446
O 0.2621 0.8597 0.2206
O 0.2630 0.1667 0.9654
O 0.2634 0.8561 0.7227
O 0.2625 0.8888 0.4186
O 0.2636 0.8938 0.9164
O 0.4465 0.4110 0.3108
O 0.4498 0.4145 0.7937
O 0.5723 0.0595 0.1978
O 0.5756 0.0513 0.6977
O 0.7560 0.6012 0.2836
O 0.7607 0.1938 0.3120
O 0.7612 0.5744 0.5922
O 0.7619 0.1872 0.8139
O 0.7621 0.3000 0.5372
O 0.7625 0.8109 0.5595
O 0.7626 0.8057 0.0588
O 0.7645 0.3051 0.0349
O 0.7689 0.5715 0.0893
O 0.7688 0.6121 0.7839
O 0.9478 0.0491 0.6988
O 0.9479 0.0573 0.2001

Peak list (10 most intense, 10° ≤ 2θ ≤ 90°, low angle first)
| index | d_spacing | I_rel |
| --- | --- | --- |
| 1 1 0 | 5.290 | 55 |
| 0 0 2 | 4.565 | 37 |
| 0 2 2 | 4.448 | 48 |
| 0 1 -2 | 3.444 | 38 |
| 2 0 0 | 3.284 | 100 |
| 2 0 2 | 2.666 | 47 |
| 2 2 0 | 2.649 | 44 |
| -2 2 2 | 2.638 | 43 |
| 0 2 4 | 2.609 | 67 |
| 4 0 0 | 1.642 | 32 |